Starting from a crystal structure in the Materials Project, relaxed with GGA-PBE, the powder diffractogram of Sr2Zn3Cd was calculated for Cu Kα X-rays.
Neutral-atom scattering factors, no anomalous dispersion.

Crystal structure
Cell lengths 11.145, 4.904, 7.859 Å; angles 90.00, 134.30, 90.00 degrees
Fractional coordinates of all 12 atoms:
Sr (0.000, 0.000, 0.000)
Sr (0.101, 0.000, 0.602)
Sr (0.500, 0.500, 0.000)
Sr (0.601, 0.500, 0.602)
Zn (0.214, 0.500, 0.021)
Zn (0.375, 0.000, 0.195)
Zn (0.395, 0.000, 0.583)
Zn (0.714, 0.000, 0.021)
Zn (0.875, 0.500, 0.195)
Zn (0.895, 0.500, 0.583)
Cd (0.213, 0.500, 0.401)
Cd (0.713, 0.000, 0.401)

Top 10 peaks for 2θ from 15° to 90°, low angle first:
- (1 1 1), 2.886 Å, I = 22
- (1 1 -2), 2.870 Å, I = 100
- (3 1 -2), 2.855 Å, I = 39
- (4 0 -2), 2.786 Å, I = 22
- (2 0 -3), 2.496 Å, I = 20
- (4 0 -3), 2.482 Å, I = 20
- (0 2 0), 2.452 Å, I = 49
- (3 1 0), 2.337 Å, I = 61
- (1 1 3), 1.516 Å, I = 16
- (7 1 -3), 1.503 Å, I = 15